Structure and computed XRD peak list of HfAlS3 (the PBE geometry in Alexandria; Cu Kα X-rays).

Largest 10 diffraction maxima, in order of rising 2θ, 10° ≤ 2θ ≤ 90°:
- 2θ = 16.48°, rel. 1000, (0 2 1)
- 2θ = 16.99°, rel. 397, (0 4 0)
- 2θ = 22.15°, rel. 884, (0 4 1)
- 2θ = 29.06°, rel. 950, (1 1 1)
- 2θ = 36.04°, rel. 421, (1 5 1)
- 2θ = 38.64°, rel. 405, (0 6 2)
- 2θ = 40.37°, rel. 582, (1 3 2)
- 2θ = 42.00°, rel. 308, (1 7 1)
- 2θ = 44.11°, rel. 337, (1 5 2)
- 2θ = 46.71°, rel. 418, (1 9 0)

Crystal structure
```
data_HfAlS3
_cell_length_a 3.575
_cell_length_b 20.870
_cell_length_c 6.278
_cell_angle_alpha 90.00
_cell_angle_beta 90.00
_cell_angle_gamma 90.00
_space_group_name_H-M_alt 'C m c 21'
_space_group_IT_number 36
loop_
_space_group_symop_operation_xyz
'x,y,z'
'-x,-y,z+1/2'
'-x,y,z'
'x,-y,z+1/2'
'x+1/2,y+1/2,z'
'-x+1/2,-y+1/2,z+1/2'
'-x+1/2,y+1/2,z'
'x+1/2,-y+1/2,z+1/2'
loop_
_atom_site_label
_atom_site_fract_x
_atom_site_fract_y
_atom_site_fract_z
_atom_site_occupancy
Hf1 0.000 0.172 0.000 1
Al1 0.000 0.375 0.918 1
S1 0.000 0.077 0.263 1
S2 0.000 0.276 0.756 1
S3 0.000 0.380 0.274 1
```



Structure and computed XRD peak list of Hf7Al2S2 (the PBE geometry in Alexandria; Cu Kα X-rays).

Largest 10 diffraction maxima, in order of rising 2θ, 10° ≤ 2θ ≤ 90°:
- 2θ = 31.37°, rel. 300, (0 1 3)
- 2θ = 31.66°, rel. 443, (0 5 1)
- 2θ = 32.77°, rel. 476, (1 3 0)
- 2θ = 34.83°, rel. 897, (1 1 2)
- 2θ = 35.79°, rel. 1000, (0 3 3)
- 2θ = 36.08°, rel. 295, (0 6 0)
- 2θ = 38.01°, rel. 927, (1 4 1)
- 2θ = 38.90°, rel. 584, (1 3 2)
- 2θ = 56.24°, rel. 507, (2 0 0)
- 2θ = 68.51°, rel. 306, (2 3 3)

Crystal structure
```
data_Hf7Al2S2
_cell_length_a 3.270
_cell_length_b 14.936
_cell_length_c 8.715
_cell_angle_alpha 90.00
_cell_angle_beta 90.00
_cell_angle_gamma 90.00
_space_group_name_H-M_alt 'I m m 2'
_space_group_IT_number 44
loop_
_space_group_symop_operation_xyz
'x,y,z'
'-x,-y,z'
'-x,y,z'
'x,-y,z'
'x+1/2,y+1/2,z+1/2'
'-x+1/2,-y+1/2,z+1/2'
'-x+1/2,y+1/2,z+1/2'
'x+1/2,-y+1/2,z+1/2'
loop_
_atom_site_label
_atom_site_fract_x
_atom_site_fract_y
_atom_site_fract_z
_atom_site_occupancy
Hf1 0.000 0.000 0.000 1
Hf2 0.000 0.123 0.560 1
Hf3 0.000 0.326 0.354 1
Hf4 0.000 0.345 0.731 1
Al1 0.000 0.000 0.321 1
Al2 0.000 0.500 0.226 1
S1 0.000 0.245 0.055 1
```



Structure and computed XRD peak list of HfAlS (the PBE geometry in Alexandria; Cu Kα X-rays).

Largest 10 diffraction maxima, in order of rising 2θ, 10° ≤ 2θ ≤ 90°:
- 2θ = 21.28°, rel. 316, (0 0 2)
- 2θ = 27.04°, rel. 1000, (1 0 1)
- 2θ = 32.16°, rel. 190, (0 0 3)
- 2θ = 35.36°, rel. 377, (1 1 0)
- 2θ = 41.03°, rel. 389, (1 0 3)
- 2θ = 41.64°, rel. 473, (1 1 2)
- 2θ = 50.58°, rel. 185, (1 0 4)
- 2θ = 50.87°, rel. 223, (2 0 0)
- 2θ = 58.55°, rel. 246, (2 1 1)
- 2θ = 67.33°, rel. 178, (2 1 3)

Crystal structure
```
data_HfAlS
_cell_length_a 3.590
_cell_length_b 3.590
_cell_length_c 8.351
_cell_angle_alpha 90.00
_cell_angle_beta 90.00
_cell_angle_gamma 90.00
_space_group_name_H-M_alt 'P 4/n m m'
_space_group_IT_number 129
loop_
_space_group_symop_operation_xyz
'x,y,z'
'-x,-y,-z'
'-y+1/2,x,z'
'y+1/2,-x,-z'
'-x+1/2,-y+1/2,z'
'x+1/2,y+1/2,-z'
'y,-x+1/2,z'
'-y,x+1/2,-z'
'x+1/2,-y,-z'
'-x+1/2,y,z'
'-y,-x,-z'
'y,x,z'
'-x,y+1/2,-z'
'x,-y+1/2,z'
'y+1/2,x+1/2,-z'
'-y+1/2,-x+1/2,z'
loop_
_atom_site_label
_atom_site_fract_x
_atom_site_fract_y
_atom_site_fract_z
_atom_site_occupancy
Hf1 0.250 0.250 0.213 1
Al1 0.250 0.750 0.500 1
S1 0.250 0.250 0.884 1
```



Structure and computed XRD peak list of HfAl2S (the PBE geometry in Alexandria; Cu Kα X-rays).

Largest 10 diffraction maxima, in order of rising 2θ, 10° ≤ 2θ ≤ 90°:
- 2θ = 20.86°, rel. 858, (1 0 1)
- 2θ = 23.83°, rel. 946, (2 0 0)
- 2θ = 31.88°, rel. 851, (2 1 1)
- 2θ = 33.96°, rel. 1000, (2 2 0)
- 2θ = 38.71°, rel. 987, (1 1 2)
- 2θ = 40.19°, rel. 283, (3 0 1)
- 2θ = 48.78°, rel. 337, (4 0 0)
- 2θ = 52.42°, rel. 803, (3 1 2)
- 2θ = 54.99°, rel. 228, (4 2 0)
- 2θ = 74.41°, rel. 279, (5 1 2)

Crystal structure
```
data_HfAl2S
_cell_length_a 7.467
_cell_length_b 7.467
_cell_length_c 5.183
_cell_angle_alpha 90.00
_cell_angle_beta 90.00
_cell_angle_gamma 90.00
_space_group_name_H-M_alt 'I -4 2 d'
_space_group_IT_number 122
_space_group_name_Hall 'I -4 2bw'
loop_
_atom_site_label
_atom_site_fract_x
_atom_site_fract_y
_atom_site_fract_z
_atom_site_occupancy
Hf1 0.000 0.000 0.000 1
Al1 0.208 0.750 0.625 1
S1 0.000 0.000 0.500 1
```



- Which formula does entry 1 have?
  HfAlS3